No. 1
Structure and theoretical powder diffractogram of K2Ca2C3O9 (a PBE-relaxed structure; copper Kα).

Crystal structure
Cell: 8.181 8.181 8.181 Å, 108.10 108.10 108.10°
Atoms (fractional coordinates):
K  0.000  0.000  0.000
K  0.167  0.313  0.766
K  0.313  0.766  0.167
K  0.766  0.167  0.313
Ca  0.363  0.848  0.700
Ca  0.425  0.425  0.425
Ca  0.700  0.363  0.848
Ca  0.848  0.700  0.363
C  0.069  0.455  0.259
C  0.259  0.069  0.455
C  0.455  0.259  0.069
C  0.604  0.689  0.936
C  0.689  0.936  0.604
C  0.936  0.604  0.689
O  0.061  0.767  0.718
O  0.151  0.396  0.157
O  0.154  0.519  0.445
O  0.157  0.151  0.396
O  0.176  0.900  0.446
O  0.396  0.157  0.151
O  0.445  0.154  0.519
O  0.446  0.176  0.900
O  0.514  0.536  0.769
O  0.519  0.445  0.154
O  0.531  0.808  0.973
O  0.536  0.769  0.514
O  0.718  0.061  0.767
O  0.767  0.718  0.061
O  0.769  0.514  0.536
O  0.808  0.973  0.531
O  0.900  0.446  0.176
O  0.973  0.531  0.808

Most intense lines, 10 to 90 degrees two-theta, most intense first:
2θ 29.90, intensity 100; 2θ 29.05, intensity 77; 2θ 34.91, intensity 47; 2θ 35.88, intensity 43; 2θ 33.68, intensity 32; 2θ 47.97, intensity 31; 2θ 46.80, intensity 20; 2θ 38.92, intensity 18; 2θ 49.64, intensity 18; 2θ 40.02, intensity 15



No. 2
Structure and theoretical powder diffractogram of Cd9Ag2Pd (a PBE-relaxed structure; copper Kα).

Crystal structure
Cell: 5.250 6.687 7.604 Å, 95.36 98.19 105.44°
Atoms (fractional coordinates):
Cd  0.000  0.000  0.000
Cd  0.085  0.725  0.578
Cd  0.142  0.589  0.185
Cd  0.286  0.186  0.726
Cd  0.461  0.669  0.880
Cd  0.539  0.331  0.120
Cd  0.714  0.814  0.274
Cd  0.858  0.411  0.815
Cd  0.915  0.275  0.422
Ag  0.317  0.046  0.354
Ag  0.683  0.954  0.646
Pd  0.500  0.500  0.500

Most intense lines, 10 to 90 degrees two-theta, most intense first:
2θ 36.97, intensity 100; 2θ 37.19, intensity 81; 2θ 38.73, intensity 70; 2θ 38.29, intensity 66; 2θ 39.86, intensity 57; 2θ 38.08, intensity 51; 2θ 31.36, intensity 46; 2θ 42.16, intensity 37; 2θ 34.74, intensity 28; 2θ 28.61, intensity 24



No. 3
Structure and theoretical powder diffractogram of PaRe2Si2Os (a PBE-relaxed structure; copper Kα).

Crystal structure
Cell: 4.608 4.608 5.211 Å, 90.00 90.00 90.00°
Atoms (fractional coordinates):
Pa  0.000  0.000  0.000
Re  0.500  0.500  0.237
Re  0.500  0.500  0.763
Si  0.000  0.500  0.500
Si  0.500  0.000  0.500
Os  0.000  0.000  0.500

Most intense lines, 10 to 90 degrees two-theta, most intense first:
2θ 27.37, intensity 100; 2θ 39.74, intensity 87; 2θ 56.97, intensity 62; 2θ 39.09, intensity 53; 2θ 84.42, intensity 21; 2θ 63.87, intensity 19; 2θ 56.48, intensity 18; 2θ 71.27, intensity 16; 2θ 85.66, intensity 11; 2θ 79.19, intensity 10